Entry 1:
Structure and simulated powder diffractogram of TeS4N4Cl4 (DFT lattice parameters and positions (PBE); Cu Kα (λ = 1.5418 Å)).
Lines closer than 0.1° are merged.

Cell and atoms:
Lattice parameters (Å, degrees): 9.237 9.237 7.598 98.37 98.37 84.24
Atoms (fractional coordinates):
Te1 0.128 0.872 0.500
Te2 0.872 0.128 0.000
S1 0.120 0.641 0.812
S2 0.319 0.852 0.920
S3 0.352 0.421 0.681
S4 0.421 0.352 0.181
S5 0.565 0.649 0.794
S6 0.641 0.120 0.312
S7 0.649 0.565 0.294
S8 0.852 0.319 0.420
N1 0.197 0.780 0.755
N2 0.209 0.488 0.761
N3 0.477 0.524 0.669
N4 0.480 0.775 0.906
N5 0.488 0.209 0.261
N6 0.524 0.477 0.169
N7 0.775 0.480 0.406
N8 0.780 0.197 0.255
Cl1 0.110 0.147 0.213
Cl2 0.127 0.613 0.357
Cl3 0.147 0.110 0.713
Cl4 0.395 0.869 0.472
Cl5 0.613 0.127 0.857
Cl6 0.862 0.875 0.085
Cl7 0.869 0.395 0.972
Cl8 0.875 0.862 0.585

The 12 most intense peaks (2θ = 10–90°), low angle first:
- 2θ = 13.18°, I 100
- 2θ = 14.32°, I 71
- 2θ = 16.34°, I 43
- 2θ = 18.63°, I 48
- 2θ = 21.47°, I 34
- 2θ = 24.22°, I 21
- 2θ = 24.59°, I 37
- 2θ = 27.95°, I 41
- 2θ = 28.88°, I 54
- 2θ = 29.42°, I 29
- 2θ = 38.49°, I 26
- 2θ = 39.56°, I 48


Entry 2:
Structure and simulated powder diffractogram of TeS2N2Cl2 (DFT lattice parameters and positions (PBE); Cu Kα (λ = 1.5418 Å)).
Lines closer than 0.1° are merged.

Cell and atoms:
Lattice parameters (Å, degrees): 11.251 11.251 7.759 96.19 96.19 49.65
Atoms (fractional coordinates):
Te1 0.068 0.733 0.800
Te2 0.267 0.932 0.700
Te3 0.733 0.068 0.300
Te4 0.932 0.267 0.200
S1 0.190 0.400 0.677
S2 0.343 0.495 0.871
S3 0.400 0.190 0.177
S4 0.495 0.343 0.371
S5 0.505 0.657 0.629
S6 0.600 0.810 0.823
S7 0.657 0.505 0.129
S8 0.810 0.600 0.323
N1 0.049 0.579 0.671
N2 0.339 0.359 0.782
N3 0.359 0.339 0.282
N4 0.421 0.951 0.829
N5 0.579 0.049 0.171
N6 0.641 0.661 0.718
N7 0.661 0.641 0.218
N8 0.951 0.421 0.329
Cl1 0.029 0.278 0.927
Cl2 0.160 0.772 0.517
Cl3 0.228 0.840 0.983
Cl4 0.278 0.029 0.427
Cl5 0.722 0.971 0.573
Cl6 0.772 0.160 0.017
Cl7 0.840 0.228 0.483
Cl8 0.971 0.722 0.073

The 12 most intense peaks (2θ = 10–90°), low angle first:
- 2θ = 15.08°, I 48
- 2θ = 15.85°, I 100
- 2θ = 17.49°, I 37
- 2θ = 18.90°, I 29
- 2θ = 24.28°, I 22
- 2θ = 27.36°, I 40
- 2θ = 27.71°, I 28
- 2θ = 28.68°, I 38
- 2θ = 29.16°, I 21
- 2θ = 35.70°, I 31
- 2θ = 37.18°, I 27
- 2θ = 39.93°, I 21


Entry 3:
Structure and simulated powder diffractogram of TiS4N5Cl5 (DFT lattice parameters and positions (PBE); Cu Kα (λ = 1.5418 Å)).
Lines closer than 0.1° are merged.

Cell and atoms:
Lattice parameters (Å, degrees): 6.993 16.963 11.354 90.00 98.59 90.00
Atoms (fractional coordinates):
Ti1 0.118 0.018 0.161
Ti2 0.118 0.482 0.661
Ti3 0.882 0.518 0.339
Ti4 0.882 0.982 0.839
S1 0.131 0.235 0.434
S2 0.131 0.265 0.934
S3 0.337 0.152 0.629
S4 0.337 0.348 0.129
S5 0.374 0.612 0.013
S6 0.374 0.888 0.513
S7 0.476 0.729 0.477
S8 0.476 0.771 0.977
S9 0.524 0.229 0.023
S10 0.524 0.271 0.523
S11 0.626 0.112 0.487
S12 0.626 0.388 0.987
S13 0.663 0.652 0.871
S14 0.663 0.848 0.371
S15 0.869 0.735 0.066
S16 0.869 0.765 0.566
N1 0.135 0.168 0.528
N2 0.135 0.332 0.028
N3 0.326 0.224 0.916
N4 0.326 0.276 0.416
N5 0.341 0.702 0.035
N6 0.341 0.798 0.535
N7 0.454 0.086 0.553
N8 0.454 0.414 0.053
N9 0.458 0.234 0.643
N10 0.458 0.266 0.143
N11 0.542 0.734 0.857
N12 0.542 0.766 0.357
N13 0.546 0.586 0.947
N14 0.546 0.914 0.447
N15 0.659 0.202 0.465
N16 0.659 0.298 0.965
N17 0.674 0.724 0.584
N18 0.674 0.776 0.084
N19 0.865 0.668 0.972
N20 0.865 0.832 0.472
Cl1 0.002 0.149 0.141
Cl2 0.002 0.351 0.641
Cl3 0.004 0.506 0.165
Cl4 0.004 0.994 0.665
Cl5 0.195 0.024 0.954
Cl6 0.195 0.476 0.454
Cl7 0.217 0.612 0.671
Cl8 0.217 0.888 0.171
Cl9 0.423 0.063 0.226
Cl10 0.423 0.437 0.726
Cl11 0.577 0.563 0.274
Cl12 0.577 0.937 0.774
Cl13 0.783 0.112 0.829
Cl14 0.783 0.388 0.329
Cl15 0.805 0.524 0.546
Cl16 0.805 0.976 0.046
Cl17 0.996 0.006 0.335
Cl18 0.996 0.494 0.835
Cl19 0.998 0.649 0.359
Cl20 0.998 0.851 0.859

The 12 most intense peaks (2θ = 10–90°), low angle first:
- 2θ = 14.95°, I 100
- 2θ = 16.55°, I 64
- 2θ = 17.55°, I 42
- 2θ = 18.96°, I 67
- 2θ = 21.83°, I 32
- 2θ = 25.29°, I 25
- 2θ = 27.90°, I 31
- 2θ = 29.90°, I 26
- 2θ = 30.68°, I 24
- 2θ = 32.60°, I 52
- 2θ = 32.82°, I 39
- 2θ = 34.27°, I 45


Entry 4:
Structure and simulated powder diffractogram of VS2N3Cl2 (DFT lattice parameters and positions (PBE); Cu Kα (λ = 1.5418 Å)).
Lines closer than 0.1° are merged.

Cell and atoms:
Lattice parameters (Å, degrees): 5.796 7.384 8.032 95.06 98.93 97.38
Atoms (fractional coordinates):
V1 0.240 0.146 0.478
V2 0.760 0.854 0.522
S1 0.179 0.873 0.818
S2 0.251 0.363 0.166
S3 0.749 0.637 0.834
S4 0.821 0.127 0.182
N1 0.015 0.734 0.905
N2 0.058 0.923 0.639
N3 0.343 0.295 0.342
N4 0.657 0.705 0.658
N5 0.942 0.077 0.361
N6 0.985 0.266 0.095
Cl1 0.198 0.353 0.691
Cl2 0.379 0.885 0.335
Cl3 0.621 0.115 0.665
Cl4 0.802 0.647 0.309

The 12 most intense peaks (2θ = 10–90°), low angle first:
- 2θ = 11.22°, I 100
- 2θ = 12.16°, I 56
- 2θ = 17.47°, I 62
- 2θ = 18.40°, I 39
- 2θ = 20.91°, I 33
- 2θ = 24.46°, I 52
- 2θ = 29.47°, I 46
- 2θ = 30.27°, I 33
- 2θ = 31.58°, I 33
- 2θ = 35.28°, I 46
- 2θ = 35.43°, I 32
- 2θ = 35.59°, I 53


Entry 5:
Structure and simulated powder diffractogram of VS2N3Cl2 (DFT lattice parameters and positions (PBE); Cu Kα (λ = 1.5418 Å)).
Lines closer than 0.1° are merged.

Cell and atoms:
Lattice parameters (Å, degrees): 5.796 7.660 8.127 90.13 98.15 107.59
Atoms (fractional coordinates):
V1 0.249 0.005 0.137
V2 0.751 0.995 0.863
S1 0.221 0.300 0.801
S2 0.228 0.732 0.418
S3 0.772 0.268 0.582
S4 0.779 0.700 0.199
N1 0.058 0.358 0.650
N2 0.073 0.128 0.893
N3 0.345 0.896 0.308
N4 0.655 0.104 0.692
N5 0.927 0.872 0.107
N6 0.942 0.642 0.350
Cl1 0.260 0.269 0.268
Cl2 0.342 0.807 0.938
Cl3 0.658 0.193 0.062
Cl4 0.740 0.731 0.732

The 12 most intense peaks (2θ = 10–90°), low angle first:
- 2θ = 11.01°, I 65
- 2θ = 12.14°, I 100
- 2θ = 16.80°, I 85
- 2θ = 19.30°, I 96
- 2θ = 20.99°, I 37
- 2θ = 24.41°, I 32
- 2θ = 29.53°, I 70
- 2θ = 30.00°, I 49
- 2θ = 32.64°, I 90
- 2θ = 32.79°, I 57
- 2θ = 34.37°, I 40
- 2θ = 51.03°, I 28


Entry 6:
Structure and simulated powder diffractogram of WSNCl5 (DFT lattice parameters and positions (PBE); Cu Kα (λ = 1.5418 Å)).
Lines closer than 0.1° are merged.

Cell and atoms:
Lattice parameters (Å, degrees): 6.288 9.556 16.785 90.00 110.21 90.00
Atoms (fractional coordinates):
W1 0.097 0.147 0.090
W2 0.097 0.353 0.590
W3 0.903 0.647 0.410
W4 0.903 0.853 0.910
S1 0.428 0.712 0.244
S2 0.428 0.788 0.744
S3 0.572 0.212 0.256
S4 0.572 0.288 0.756
N1 0.350 0.184 0.178
N2 0.350 0.316 0.678
N3 0.650 0.684 0.322
N4 0.650 0.816 0.822
Cl1 0.053 0.007 0.837
Cl2 0.053 0.493 0.337
Cl3 0.130 0.674 0.891
Cl4 0.130 0.826 0.391
Cl5 0.180 0.226 0.489
Cl6 0.180 0.274 0.989
Cl7 0.259 0.558 0.544
Cl8 0.259 0.942 0.044
Cl9 0.450 0.584 0.149
Cl10 0.450 0.916 0.649
Cl11 0.550 0.084 0.351
Cl12 0.550 0.416 0.851
Cl13 0.741 0.058 0.956
Cl14 0.741 0.442 0.456
Cl15 0.820 0.726 0.011
Cl16 0.820 0.774 0.511
Cl17 0.870 0.174 0.609
Cl18 0.870 0.326 0.109
Cl19 0.947 0.507 0.663
Cl20 0.947 0.993 0.163

The 12 most intense peaks (2θ = 10–90°), low angle first:
- 2θ = 10.83°, I 100
- 2θ = 11.24°, I 24
- 2θ = 14.57°, I 86
- 2θ = 15.01°, I 43
- 2θ = 15.34°, I 84
- 2θ = 16.88°, I 54
- 2θ = 19.41°, I 32
- 2θ = 23.65°, I 57
- 2θ = 26.21°, I 44
- 2θ = 27.97°, I 27
- 2θ = 37.92°, I 24
- 2θ = 38.75°, I 24


Entry 7:
Structure and simulated powder diffractogram of WS2N3Cl3 (DFT lattice parameters and positions (PBE); Cu Kα (λ = 1.5418 Å)).
Lines closer than 0.1° are merged.

Cell and atoms:
Lattice parameters (Å, degrees): 7.795 9.564 13.284 90.00 120.25 90.00
Atoms (fractional coordinates):
W1 0.014 0.131 0.413
W2 0.014 0.369 0.913
W3 0.986 0.631 0.087
W4 0.986 0.869 0.587
S1 0.242 0.591 0.616
S2 0.242 0.909 0.116
S3 0.255 0.689 0.969
S4 0.255 0.811 0.469
S5 0.745 0.189 0.531
S6 0.745 0.311 0.031
S7 0.758 0.091 0.884
S8 0.758 0.409 0.384
N1 0.098 0.698 0.631
N2 0.098 0.802 0.131
N3 0.112 0.592 0.994
N4 0.112 0.908 0.494
N5 0.305 0.664 0.531
N6 0.305 0.836 0.031
N7 0.695 0.164 0.969
N8 0.695 0.336 0.469
N9 0.888 0.092 0.506
N10 0.888 0.408 0.006
N11 0.902 0.198 0.869
N12 0.902 0.302 0.369
Cl1 0.218 0.099 0.328
Cl2 0.218 0.401 0.828
Cl3 0.231 0.515 0.253
Cl4 0.231 0.985 0.753
Cl5 0.308 0.212 0.576
Cl6 0.308 0.288 0.076
Cl7 0.692 0.712 0.924
Cl8 0.692 0.788 0.424
Cl9 0.769 0.015 0.247
Cl10 0.769 0.485 0.747
Cl11 0.782 0.599 0.172
Cl12 0.782 0.901 0.672

The 12 most intense peaks (2θ = 10–90°), low angle first:
- 2θ = 12.05°, I 88
- 2θ = 13.15°, I 100
- 2θ = 14.70°, I 36
- 2θ = 15.44°, I 22
- 2θ = 17.12°, I 34
- 2θ = 18.03°, I 43
- 2θ = 20.57°, I 31
- 2θ = 21.83°, I 36
- 2θ = 26.66°, I 31
- 2θ = 29.04°, I 29
- 2θ = 31.24°, I 29
- 2θ = 37.43°, I 25